(1)
Simulated X-ray powder pattern
Compound: K3NdF8
Radiation: λ = 1.5418 Å (Cu Kα)
Structure: DFT lattice parameters and positions (GGA-PBE)
Lines closer than 0.1° are merged.

Crystal structure
abc: 7.571 7.571 7.571
angles: 132.70 132.70 69.13
Positions (direct):
K  0.000  0.000  0.000
K  0.250  0.750  0.500
K  0.750  0.250  0.500
Nd  0.500  0.500  0.000
F  0.164  0.164  0.553
F  0.164  0.611  0.000
F  0.389  0.389  0.553
F  0.389  0.836  0.000
F  0.611  0.164  0.000
F  0.611  0.611  0.447
F  0.836  0.389  0.000
F  0.836  0.836  0.447

Peak list (12 most intense, 10 to 80 degrees two-theta, by angle)
2θ (°), I_rel
14.21, 21
16.23, 57
20.68, 12
25.18, 100
25.97, 10
39.63, 11
41.51, 57
42.07, 27
48.67, 15
49.65, 35
66.25, 12
76.49, 13

=====

(2)
Simulated X-ray powder pattern
Compound: TaSi6Mo2
Radiation: λ = 1.5418 Å (Cu Kα)
Structure: DFT lattice parameters and positions (GGA-PBE)
Lines closer than 0.1° are merged.

Crystal structure
abc: 4.684 4.684 6.566
angles: 90.00 90.00 119.65
Positions (direct):
Ta  0.000  0.000  0.000
Si  0.176  0.341  0.335
Si  0.337  0.663  0.000
Si  0.341  0.176  0.665
Si  0.659  0.824  0.665
Si  0.663  0.337  0.000
Si  0.824  0.659  0.335
Mo  0.000  0.500  0.665
Mo  0.500  0.000  0.335

Peak list (12 most intense, 10 to 80 degrees two-theta, by angle)
2θ (°), I_rel
21.83, 40
25.75, 100
25.85, 65
35.15, 75
38.44, 26
40.71, 62
40.92, 100
41.25, 57
44.52, 26
47.53, 38
47.70, 65
62.28, 28

=====

(3)
Simulated X-ray powder pattern
Compound: Tb4Sm2Tm3
Radiation: λ = 1.5418 Å (Cu Kα)
Structure: DFT lattice parameters and positions (GGA-PBE)
Lines closer than 0.1° are merged.

Crystal structure
abc: 9.912 9.912 6.141
angles: 94.79 94.79 71.70
Positions (direct):
Tb  0.094  0.811  0.986
Tb  0.145  0.426  0.153
Tb  0.189  0.906  0.514
Tb  0.426  0.145  0.653
Tb  0.574  0.855  0.347
Tb  0.811  0.094  0.486
Tb  0.855  0.574  0.847
Tb  0.906  0.189  0.014
Sm  0.236  0.523  0.679
Sm  0.477  0.764  0.821
Sm  0.523  0.236  0.179
Sm  0.764  0.477  0.321
Tm  0.068  0.264  0.589
Tm  0.264  0.068  0.089
Tm  0.402  0.598  0.250
Tm  0.598  0.402  0.750
Tm  0.736  0.932  0.911
Tm  0.932  0.736  0.411

Peak list (12 most intense, 10 to 80 degrees two-theta, by angle)
2θ (°), I_rel
30.22, 63
30.80, 47
31.18, 60
31.96, 100
37.48, 33
38.28, 27
49.92, 12
50.21, 14
52.10, 13
55.51, 11
56.24, 21
58.24, 13

=====

(4)
Simulated X-ray powder pattern
Compound: Np2Pa3N9
Radiation: λ = 1.5418 Å (Cu Kα)
Structure: DFT lattice parameters and positions (GGA-PBE)
Lines closer than 0.1° are merged.

Crystal structure
abc: 13.559 13.559 13.559
angles: 163.78 163.78 23.02
Positions (direct):
Np  0.197  0.197  0.000
Np  0.803  0.803  0.000
Pa  0.000  0.000  0.000
Pa  0.402  0.402  0.000
Pa  0.598  0.598  0.000
N  0.056  0.556  0.500
N  0.167  0.667  0.500
N  0.333  0.833  0.500
N  0.444  0.944  0.500
N  0.550  0.050  0.500
N  0.653  0.153  0.500
N  0.750  0.250  0.500
N  0.847  0.347  0.500
N  0.950  0.450  0.500

Peak list (12 most intense, 10 to 80 degrees two-theta, by angle)
2θ (°), I_rel
28.75, 100
33.11, 28
33.73, 13
47.53, 16
47.99, 29
56.50, 32
57.31, 14
59.54, 11
76.87, 7
77.57, 12
79.16, 5
79.51, 5

=====

(5)
Simulated X-ray powder pattern
Compound: PmPr6Nd3Ho2
Radiation: λ = 1.5418 Å (Cu Kα)
Structure: DFT lattice parameters and positions (GGA-PBE)
Lines closer than 0.1° are merged.

Crystal structure
abc: 6.371 6.371 12.114
angles: 95.04 95.04 120.02
Positions (direct):
Pm  0.000  0.000  0.000
Pr  0.083  0.417  0.247
Pr  0.251  0.251  0.753
Pr  0.417  0.083  0.247
Pr  0.583  0.917  0.753
Pr  0.749  0.749  0.247
Pr  0.917  0.583  0.753
Nd  0.167  0.833  0.500
Nd  0.500  0.500  0.500
Nd  0.833  0.167  0.500
Ho  0.333  0.667  0.000
Ho  0.667  0.333  0.000

Peak list (12 most intense, 10 to 80 degrees two-theta, by angle)
2θ (°), I_rel
29.78, 100
29.97, 33
34.57, 67
49.57, 24
49.83, 24
58.90, 10
58.99, 24
59.04, 10
59.25, 14
61.84, 12
62.28, 4
72.93, 8

=====

(6)
Simulated X-ray powder pattern
Compound: Sc4AlAg2
Radiation: λ = 1.5418 Å (Cu Kα)
Structure: DFT lattice parameters and positions (GGA-PBE)
Lines closer than 0.1° are merged.

Crystal structure
abc: 8.130 8.130 8.130
angles: 34.21 34.21 34.21
Positions (direct):
Sc  0.115  0.115  0.115
Sc  0.371  0.371  0.371
Sc  0.629  0.629  0.629
Sc  0.885  0.885  0.885
Al  0.500  0.500  0.500
Ag  0.242  0.242  0.242
Ag  0.758  0.758  0.758

Peak list (12 most intense, 10 to 80 degrees two-theta, by angle)
2θ (°), I_rel
22.83, 72
23.26, 27
34.91, 14
37.62, 100
38.17, 84
44.45, 12
44.70, 28
54.67, 27
59.61, 10
67.89, 16
68.26, 27
73.50, 10

=====

(7)
Simulated X-ray powder pattern
Compound: TlAsAuBr2
Radiation: λ = 1.5418 Å (Cu Kα)
Structure: DFT lattice parameters and positions (GGA-PBE)
Lines closer than 0.1° are merged.

Crystal structure
abc: 5.614 5.614 5.001
angles: 90.00 90.00 90.00
Positions (direct):
Tl  0.000  0.000  0.000
As  0.500  0.500  0.000
Au  0.500  0.500  0.500
Br  0.000  0.500  0.500
Br  0.500  0.000  0.500

Peak list (12 most intense, 10 to 80 degrees two-theta, by angle)
2θ (°), I_rel
22.40, 54
23.83, 100
28.71, 38
31.88, 98
35.92, 36
40.19, 53
42.74, 21
45.71, 36
48.78, 60
59.46, 33
75.78, 16
78.09, 15

=====

(8)
Simulated X-ray powder pattern
Compound: TcSn5
Radiation: λ = 1.5418 Å (Cu Kα)
Structure: DFT lattice parameters and positions (GGA-PBE)
Lines closer than 0.1° are merged.

Crystal structure
abc: 7.593 7.593 7.593
angles: 123.96 123.96 83.26
Positions (direct):
Tc  0.250  0.250  0.000
Tc  0.750  0.750  0.000
Sn  0.000  0.000  0.000
Sn  0.007  0.507  0.803
Sn  0.205  0.007  0.500
Sn  0.295  0.795  0.803
Sn  0.493  0.295  0.500
Sn  0.500  0.500  0.000
Sn  0.507  0.705  0.500
Sn  0.705  0.205  0.197
Sn  0.795  0.993  0.500
Sn  0.993  0.493  0.197

Peak list (12 most intense, 10 to 80 degrees two-theta, by angle)
2θ (°), I_rel
29.07, 85
35.59, 18
36.32, 61
36.85, 100
39.96, 84
40.63, 43
57.80, 14
58.67, 11
61.40, 32
64.43, 58
76.13, 20
79.86, 14

=====

Please write out number 2 again, unchanged.
Simulated X-ray powder pattern
Compound: TaSi6Mo2
Radiation: λ = 1.5418 Å (Cu Kα)
Structure: DFT lattice parameters and positions (GGA-PBE)
Lines closer than 0.1° are merged.

Crystal structure
abc: 4.684 4.684 6.566
angles: 90.00 90.00 119.65
Positions (direct):
Ta  0.000  0.000  0.000
Si  0.176  0.341  0.335
Si  0.337  0.663  0.000
Si  0.341  0.176  0.665
Si  0.659  0.824  0.665
Si  0.663  0.337  0.000
Si  0.824  0.659  0.335
Mo  0.000  0.500  0.665
Mo  0.500  0.000  0.335

Peak list (12 most intense, 10 to 80 degrees two-theta, by angle)
2θ (°), I_rel
21.83, 40
25.75, 100
25.85, 65
35.15, 75
38.44, 26
40.71, 62
40.92, 100
41.25, 57
44.52, 26
47.53, 38
47.70, 65
62.28, 28